Starting from a crystal structure in Alexandria, relaxed with PBE+U, the powder diffraction line list of BaSrZnWO6 was simulated for Cu Kα (weighted mean of Kα1 and Kα2).
Lines closer than 0.1° are merged.

Most intense lines, 15° ≤ 2θ ≤ 90°, by angle:
18.8 deg, intensity 17.8; 31.0 deg, intensity 100.0; 36.5 deg, intensity 8.9; 44.4 deg, intensity 30.6; 55.1 deg, intensity 39.9; 64.5 deg, intensity 18.8; 73.3 deg, intensity 17.6; 89.9 deg, intensity 21.7

Crystal structure
a b c (Å): 5.775 5.775 5.775
angles (deg): 60.00 60.00 60.00
Positions (direct):
Ba 0.000 0.000 0.000
Sr 0.500 0.500 0.500
Zn 0.750 0.750 0.750
W 0.250 0.250 0.250
O 0.011 0.011 0.489
O 0.011 0.489 0.011
O 0.011 0.489 0.489
O 0.489 0.011 0.011
O 0.489 0.011 0.489
O 0.489 0.489 0.011